# 1
Starting from a crystal structure in OQMD, relaxed with GGA-PBE, the powder diffractogram of Li4HoSbO6 was calculated for λ = 1.5418 Å (Cu Kα).
No peak broadening, texture or thermal motion is included.

Structure:
```
data_Li4HoSbO6
_cell_length_a 5.4483
_cell_length_b 5.4483
_cell_length_c 5.2138
_cell_angle_alpha 99.38
_cell_angle_beta 99.38
_cell_angle_gamma 120.61
_symmetry_space_group_name_H-M 'P 1'
_symmetry_Int_Tables_number 1
_symmetry_space_group_name_Hall 'P 1'
loop_
_atom_site_label
_atom_site_fract_x
_atom_site_fract_y
_atom_site_fract_z
Li1 0.0000 0.0000 0.0000
Li2 0.3802 0.6198 0.0000
Li3 0.6841 0.3159 0.0000
Li4 0.8542 0.1458 0.5000
Ho1 0.1887 0.8113 0.5000
Sb1 0.5210 0.4790 0.5000
O1 0.1410 0.4021 0.2596
O2 0.2874 0.2493 0.7332
O3 0.4472 0.1042 0.2599
O4 0.5979 0.8590 0.7404
O5 0.7507 0.7126 0.2668
O6 0.8958 0.5528 0.7401
```

Main lines, by angle (10° ≤ 2θ ≤ 90°):
18.02°, I = 100
18.75°, I = 23
19.78°, I = 42
22.61°, I = 31
33.40°, I = 40
35.22°, I = 31
41.01°, I = 49
41.79°, I = 23

***

# 2
Starting from a crystal structure in OQMD, relaxed with GGA-PBE, the powder diffractogram of Li2HoP2Pd was calculated for λ = 1.5418 Å (Cu Kα).
No peak broadening, texture or thermal motion is included.

Structure:
```
data_Li2HoP2Pd
_cell_length_a 4.0904
_cell_length_b 4.0904
_cell_length_c 6.3869
_cell_angle_alpha 90.00
_cell_angle_beta 90.00
_cell_angle_gamma 120.00
_symmetry_space_group_name_H-M 'P 1'
_symmetry_Int_Tables_number 1
_symmetry_space_group_name_Hall 'P 1'
loop_
_atom_site_label
_atom_site_fract_x
_atom_site_fract_y
_atom_site_fract_z
Li1 0.3333 0.6667 0.3480
Li2 0.6667 0.3333 0.6520
Ho1 0.0000 0.0000 0.0000
P1 0.3333 0.6667 0.7486
P2 0.6667 0.3333 0.2514
Pd1 0.0000 0.0000 0.5000
```

Main lines, by angle (10° ≤ 2θ ≤ 90°):
25.14°, I = 88
27.94°, I = 17
37.93°, I = 100
44.29°, I = 41
53.18°, I = 18
59.70°, I = 26
75.55°, I = 15
77.27°, I = 25

***

# 3
Starting from a crystal structure in OQMD, relaxed with GGA-PBE, the powder diffractogram of Li2Ho2Pa was calculated for λ = 1.5418 Å (Cu Kα).
No peak broadening, texture or thermal motion is included.

Structure:
```
data_Li2Ho2Pa
_cell_length_a 11.4786
_cell_length_b 10.7069
_cell_length_c 5.6852
_cell_angle_alpha 82.83
_cell_angle_beta 67.74
_cell_angle_gamma 29.43
_symmetry_space_group_name_H-M 'P 1'
_symmetry_Int_Tables_number 1
_symmetry_space_group_name_Hall 'P 1'
loop_
_atom_site_label
_atom_site_fract_x
_atom_site_fract_y
_atom_site_fract_z
Li1 0.0000 0.0000 0.0000
Li2 0.0000 0.0000 0.5000
Li3 0.0000 0.5000 0.0000
Li4 0.5000 0.0000 0.0000
Ho1 0.2089 0.5411 0.2089
Ho2 0.4589 0.7911 0.4589
Ho3 0.5411 0.2089 0.5411
Ho4 0.7911 0.4589 0.7911
Pa1 0.1250 0.1250 0.1250
Pa2 0.8750 0.8750 0.8750
```

Main lines, by angle (10° ≤ 2θ ≤ 90°):
17.14°, I = 100
31.79°, I = 46
33.64°, I = 40
34.13°, I = 40
34.68°, I = 19
38.44°, I = 29
41.96°, I = 22
44.22°, I = 19

***

# 4
Starting from a crystal structure in OQMD, relaxed with GGA-PBE, the powder diffractogram of Sr2Li3HoPb3 was calculated for λ = 1.5418 Å (Cu Kα).
No peak broadening, texture or thermal motion is included.

Structure:
```
data_Sr2Li3HoPb3
_cell_length_a 4.9626
_cell_length_b 4.9626
_cell_length_c 11.6145
_cell_angle_alpha 90.00
_cell_angle_beta 90.00
_cell_angle_gamma 120.00
_symmetry_space_group_name_H-M 'P 1'
_symmetry_Int_Tables_number 1
_symmetry_space_group_name_Hall 'P 1'
loop_
_atom_site_label
_atom_site_fract_x
_atom_site_fract_y
_atom_site_fract_z
Sr1 0.0000 0.0000 0.1665
Sr2 0.0000 0.0000 0.8335
Li1 0.3333 0.6667 0.0000
Li2 0.6667 0.3333 0.3284
Li3 0.6667 0.3333 0.6716
Ho1 0.0000 0.0000 0.5000
Pb1 0.3333 0.6667 0.3609
Pb2 0.3333 0.6667 0.6391
Pb3 0.6667 0.3333 0.0000
```

Main lines, by angle (10° ≤ 2θ ≤ 90°):
22.05°, I = 89
25.79°, I = 20
31.09°, I = 100
36.20°, I = 77
37.38°, I = 42
48.45°, I = 29
60.68°, I = 22
61.95°, I = 28

***

# 5
Starting from a crystal structure in OQMD, relaxed with GGA-PBE, the powder diffractogram of SrLi3Ho2Pb3 was calculated for λ = 1.5418 Å (Cu Kα).
No peak broadening, texture or thermal motion is included.

Structure:
```
data_SrLi3Ho2Pb3
_cell_length_a 4.8356
_cell_length_b 4.8356
_cell_length_c 11.4247
_cell_angle_alpha 90.00
_cell_angle_beta 90.00
_cell_angle_gamma 120.00
_symmetry_space_group_name_H-M 'P 1'
_symmetry_Int_Tables_number 1
_symmetry_space_group_name_Hall 'P 1'
loop_
_atom_site_label
_atom_site_fract_x
_atom_site_fract_y
_atom_site_fract_z
Sr1 0.0000 0.0000 0.0000
Li1 0.3333 0.6667 0.5000
Li2 0.6667 0.3333 0.2084
Li3 0.6667 0.3333 0.7916
Ho1 0.0000 0.0000 0.3401
Ho2 0.0000 0.0000 0.6599
Pb1 0.3333 0.6667 0.1998
Pb2 0.3333 0.6667 0.8002
Pb3 0.6667 0.3333 0.5000
```

Main lines, by angle (10° ≤ 2θ ≤ 90°):
22.61°, I = 38
26.39°, I = 67
31.76°, I = 100
37.19°, I = 74
45.21°, I = 23
49.69°, I = 29
62.04°, I = 17
63.67°, I = 28

***

# 6
Starting from a crystal structure in OQMD, relaxed with GGA-PBE, the powder diffractogram of Li3TbHo2Pb3 was calculated for λ = 1.5418 Å (Cu Kα).
No peak broadening, texture or thermal motion is included.

Structure:
```
data_Li3TbHo2Pb3
_cell_length_a 4.7763
_cell_length_b 4.7763
_cell_length_c 10.8260
_cell_angle_alpha 90.00
_cell_angle_beta 90.00
_cell_angle_gamma 120.00
_symmetry_space_group_name_H-M 'P 1'
_symmetry_Int_Tables_number 1
_symmetry_space_group_name_Hall 'P 1'
loop_
_atom_site_label
_atom_site_fract_x
_atom_site_fract_y
_atom_site_fract_z
Li1 0.0000 0.0000 0.0000
Li2 0.3333 0.6667 0.3104
Li3 0.3333 0.6667 0.6896
Tb1 0.6667 0.3333 0.5000
Ho1 0.6667 0.3333 0.1643
Ho2 0.6667 0.3333 0.8357
Pb1 0.0000 0.0000 0.3271
Pb2 0.0000 0.0000 0.6729
Pb3 0.3333 0.6667 0.0000
```

Main lines, by angle (10° ≤ 2θ ≤ 90°):
21.48°, I = 13
23.02°, I = 41
27.13°, I = 33
32.94°, I = 100
37.67°, I = 65
50.89°, I = 30
64.76°, I = 27
65.01°, I = 29